# 1
# Pm3Sm2Er8
Calculated PXRD pattern, a wavelength of 1.5418 Å. Input: a GGA-PBE-relaxed structure.
Intensities are scaled so that the largest is 100.

```
Pm3Sm2Er8
1.0
10.1632 -3.8290 0.0000
10.1632 3.8290 0.0000
-0.0024 0.0000 5.5866
Pm Sm Er
3 2 8
direct
0.0000 0.0000 0.0000
0.2917 0.7083 0.5000
0.7083 0.2917 0.5000
0.2411 0.2411 0.9993
0.7589 0.7589 0.0007
0.1324 0.1324 0.4998
0.1811 0.6019 0.9998
0.3334 0.3334 0.4994
0.3981 0.8189 0.0002
0.6019 0.1811 0.9998
0.6666 0.6666 0.5006
0.8189 0.3981 0.0002
0.8676 0.8676 0.5002
```

Largest 10 diffraction maxima, in order of rising 2θ, 2θ = 10–80°:
Position (°2θ), Rel. int.
24.85, 19
29.58, 32
30.87, 32
32.04, 40
33.40, 100
35.33, 14
48.43, 12
57.99, 21
61.38, 11
64.39, 11

# 2
# Hf3U2C4
Calculated PXRD pattern, a wavelength of 1.5418 Å. Input: a GGA-PBE-relaxed structure.
Intensities are scaled so that the largest is 100.

```
Hf3U2C4
1.0
5.3973 -1.6300 0.0000
5.3973 1.6300 0.0000
-3.3659 0.0000 7.3276
Hf U C
3 2 4
direct
0.0000 0.0000 0.0000
0.2187 0.2187 0.8206
0.7813 0.7813 0.1794
0.4176 0.4176 0.5887
0.5824 0.5824 0.4113
0.1840 0.1840 0.2987
0.3958 0.3958 0.1012
0.6042 0.6042 0.8988
0.8160 0.8160 0.7013
```

Largest 10 diffraction maxima, in order of rising 2θ, 2θ = 10–80°:
Position (°2θ), Rel. int.
32.87, 100
33.34, 42
33.47, 44
36.21, 43
39.53, 67
54.60, 22
54.77, 25
63.03, 15
67.20, 27
68.93, 13